TiV2HgO8: simulated PXRD pattern (Cu Kα X-rays), based on a structure optimized by DFT (PBE+U).

Main lines, by angle (2θ = 5–70°):
2θ = 14.34°, rel. 36, (0 0 1); 2θ = 18.04°, rel. 100, (1 0 0); 2θ = 23.12°, rel. 68, (0 1 1); 2θ = 31.52°, rel. 79, (1 1 0); 2θ = 34.28°, rel. 72, (1 0 2); 2θ = 34.78°, rel. 45, (1 1 1); 2θ = 43.29°, rel. 23, (1 1 2); 2θ = 47.25°, rel. 43, (2 0 2); 2θ = 51.34°, rel. 18, (1 2 1); 2θ = 57.91°, rel. 35, (2 1 2)

Structural model:
```
TiV2HgO8
1.0
5.677 0.000 0.000
-2.839 4.917 0.000
0.000 0.000 6.179
Ti V Hg O
1 2 1 8
Direct
0.000 0.000 0.000
0.333 0.667 0.722
0.667 0.333 0.278
0.000 0.000 0.500
0.159 0.319 0.808
0.159 0.841 0.808
0.319 0.159 0.192
0.333 0.667 0.457
0.667 0.333 0.543
0.681 0.841 0.808
0.841 0.159 0.192
0.841 0.681 0.192
```